# Ni7Ge4
Calculated powder diffractogram, Cu Kα (weighted mean of Kα1 and Kα2). Input: a structure optimized by DFT (GGA-PBE).

Structure:
Lattice parameters (Å, degrees): 3.9810 3.9810 10.0498 90.00 90.00 120.00
Space group P-6m2 (No. 187)
Unique sites:
1 Ni 0.0000 0.0000 0.0000
2 Ni 0.3333 0.6667 0.1269
3 Ni 0.3333 0.6667 0.3790
4 Ni 0.6667 0.3333 0.2553
5 Ge 0.0000 0.0000 0.2564
6 Ge 0.6667 0.3333 0.0000
7 Ge 0.6667 0.3333 0.5000

Main lines, low angle first (2θ from 10° to 80°):
2θ (°)  I (rel.)  h k l
25.8  3  1 0 0
27.3  6  1 0 1
31.5  9  1 0 2
35.7  6  0 0 4
37.4  4  1 0 3
44.6  96  1 0 4
45.6  100  1 1 0
59.2  9  1 1 4
65.7  28  2 0 4
75.7  7  0 0 8